For NpVAuO6, a crystal structure in Alexandria, relaxed with GGA+U gives the simulated powder XRD pattern in this record (Cu Kα).
Kinematic intensities with the Lorentz-polarization factor, no thermal factor.

Main lines, sorted by position (15 to 90 degrees two-theta):
two_theta  I_rel
21.2  32
26.5  100
33.4  44
33.7  12
43.2  26
50.7  40
55.6  26
59.7  14
60.5  10
76.5  11

Structure:
abc: 5.3651 5.3651 9.7310
angles: 90.00 90.00 120.00
Element x y z (fractional)
Np: 0.3333 0.6667 0.2500
Np: 0.6667 0.3333 0.7500
V: 0.3333 0.6667 0.7500
V: 0.6667 0.3333 0.2500
Au: 0.0000 0.0000 0.0000
Au: 0.0000 0.0000 0.5000
O: 0.0222 0.3801 0.6418
O: 0.0222 0.6421 0.8582
O: 0.3579 0.3801 0.8582
O: 0.3579 0.9778 0.6418
O: 0.3801 0.0222 0.1418
O: 0.3801 0.3579 0.3582
O: 0.6199 0.6421 0.6418
O: 0.6199 0.9778 0.8582
O: 0.6421 0.0222 0.3582
O: 0.6421 0.6199 0.1418
O: 0.9778 0.3579 0.1418
O: 0.9778 0.6199 0.3582